# CaCeV2O8
Calculated PXRD pattern, Cu Kα, 1.54184 Å. Input: a structure optimized by DFT (PBE+U).
Neutral-atom scattering factors, no anomalous dispersion.

Main lines, sorted by position (15° ≤ 2θ ≤ 90°):
2θ 17.2, rel. 23
2θ 18.4, rel. 30
2θ 24.4, rel. 100
2θ 32.8, rel. 61
2θ 48.6, rel. 56
2θ 61.1, rel. 17

Crystal structure
```
CaCeV2O8
1.0
-3.648 3.648 3.215
3.648 -3.648 3.215
3.648 3.648 -3.215
Ca Ce V O
1 1 2 8
Cartesian
0.000 0.000 0.000
3.648 0.000 1.608
0.000 0.000 3.215
0.000 3.648 1.608
2.277 3.648 -1.075
1.371 0.000 2.140
0.000 2.344 0.454
3.648 2.277 1.075
0.000 4.952 0.454
0.000 1.371 4.291
-1.304 3.648 2.762
1.304 3.648 2.762
```